Pr3CuRh3: computed XRD peak list (λ = 1.5418 Å (Cu Kα)), based on a DFT-relaxed cell (PBE, Alexandria).
Kinematic intensities with the Lorentz-polarization factor, no thermal factor.

Principal peaks in the range 10 to 90 degrees two-theta, in order of falling intensity:
- 2θ 38.67, intensity 100.0
- 2θ 34.22, intensity 75.0
- 2θ 33.48, intensity 56.0
- 2θ 43.08, intensity 55.1
- 2θ 29.73, intensity 39.8
- 2θ 38.13, intensity 34.6
- 2θ 26.11, intensity 30.7
- 2θ 39.51, intensity 24.6
- 2θ 35.03, intensity 21.5
- 2θ 58.86, intensity 19.4

a b c (Å): 5.6171 5.6171 14.1618
angles (deg): 90.00 90.00 136.08
Atoms (fractional coordinates):
Pr 0.0208 0.9792 0.7500
Pr 0.3000 0.7000 0.6014
Pr 0.3000 0.7000 0.8986
Pr 0.7000 0.3000 0.1014
Pr 0.7000 0.3000 0.3986
Pr 0.9792 0.0208 0.2500
Cu 0.0000 0.0000 0.0000
Cu 0.0000 0.0000 0.5000
Rh 0.2583 0.7417 0.2500
Rh 0.4140 0.5860 0.0878
Rh 0.4140 0.5860 0.4122
Rh 0.5860 0.4140 0.5878
Rh 0.5860 0.4140 0.9122
Rh 0.7417 0.2583 0.7500